Record 1
Structure and simulated PXRD pattern of KTlF4 (a crystal structure in Alexandria, relaxed with GGA-PBE; Cu Kα (λ = 1.5418 Å)).
Kinematic intensities with the Lorentz-polarization factor, no thermal factor.

Principal peaks in the range 5 to 70 degrees two-theta, low angle first:
2θ 12.4, d 7.116, rel. 21; 2θ 15.1, d 5.868, rel. 57; 2θ 21.2, d 4.191, rel. 29; 2θ 25.8, d 3.457, rel. 36; 2θ 26.5, d 3.366, rel. 100; 2θ 30.5, d 2.934, rel. 43; 2θ 43.2, d 2.096, rel. 38; 2θ 44.1, d 2.054, rel. 31; 2θ 51.0, d 1.792, rel. 17; 2θ 51.8, d 1.766, rel. 30

Cell and atoms:
a b c (Å): 8.2170 8.2170 10.3724
angles (deg): 90.00 90.00 120.00
Space group P3_1 (No. 144)
One atom of each set of equivalent atoms:
K (0.0168, 0.8355, 0.0000) x3
K (0.5027, 0.3517, 0.0243) x3
Tl (0.1522, 0.6632, 0.3485) x3
Tl (0.3389, 0.0291, 0.6799) x3
F (0.0066, 0.3961, 0.2377) x3
F (0.0539, 0.8614, 0.7402) x3
F (0.0736, 0.3465, 0.7973) x3
F (0.1288, 0.4826, 0.5312) x3
F (0.2157, 0.2014, 0.5843) x3
F (0.2211, 0.6041, 0.0175) x3
F (0.4556, 0.3168, 0.7736) x3
F (0.5331, 0.3771, 0.2802) x3



Record 2
Structure and simulated PXRD pattern of Rb3Tl4Bi2Au2 (a crystal structure in Alexandria, relaxed with GGA-PBE; Cu Kα (λ = 1.5418 Å)).
Kinematic intensities with the Lorentz-polarization factor, no thermal factor.

Principal peaks in the range 5 to 70 degrees two-theta, low angle first:
2θ 6.0, d 14.847, rel. 24; 2θ 18.2, d 4.866, rel. 32; 2θ 25.7, d 3.470, rel. 29; 2θ 30.3, d 2.951, rel. 20; 2θ 31.9, d 2.809, rel. 100; 2θ 35.4, d 2.535, rel. 24; 2θ 40.3, d 2.240, rel. 17; 2θ 44.4, d 2.041, rel. 36; 2θ 56.8, d 1.622, rel. 20; 2θ 65.6, d 1.423, rel. 20

Cell and atoms:
a b c (Å): 5.6187 5.6187 14.8467
angles (deg): 90.00 90.00 120.00
Space group P-3m1 (No. 164)
One atom of each set of equivalent atoms:
Rb (0.0000, 0.0000, 0.0000) x1
Rb (0.0000, 0.0000, 0.3065) x2
Tl (0.3333, 0.6667, 0.4100) x2
Tl (0.3333, 0.6667, 0.8159) x2
Bi (0.3333, 0.6667, 0.1671) x2
Au (0.3333, 0.6667, 0.6100) x2



Record 3
Structure and simulated PXRD pattern of ZnRuPt2 (a crystal structure in Alexandria, relaxed with GGA-PBE; Cu Kα (λ = 1.5418 Å)).
Kinematic intensities with the Lorentz-polarization factor, no thermal factor.

Principal peaks in the range 5 to 70 degrees two-theta, low angle first:
2θ 19.8, d 4.490, rel. 39; 2θ 38.1, d 2.361, rel. 8; 2θ 38.2, d 2.355, rel. 16; 2θ 39.9, d 2.260, rel. 100; 2θ 40.2, d 2.245, rel. 98; 2θ 46.3, d 1.962, rel. 33; 2θ 46.7, d 1.945, rel. 64; 2θ 50.9, d 1.795, rel. 7; 2θ 67.8, d 1.382, rel. 52; 2θ 68.6, d 1.369, rel. 10

Cell and atoms:
a b c (Å): 9.1011 2.7650 4.7858
angles (deg): 90.00 99.38 90.00
Space group C2/m (No. 12)
One atom of each set of equivalent atoms:
Zn (0.0000, 0.0000, 0.0000) x2
Ru (0.0000, 0.5000, 0.5000) x2
Pt (0.2485, 0.0000, 0.7467) x4



Record 4
Structure and simulated PXRD pattern of CeNdTlIn (a crystal structure in Alexandria, relaxed with GGA-PBE; Cu Kα (λ = 1.5418 Å)).
Kinematic intensities with the Lorentz-polarization factor, no thermal factor.

Principal peaks in the range 5 to 70 degrees two-theta, low angle first:
2θ 17.6, d 5.048, rel. 4; 2θ 26.4, d 3.377, rel. 3; 2θ 31.9, d 2.807, rel. 100; 2θ 35.6, d 2.524, rel. 37; 2θ 39.7, d 2.272, rel. 14; 2θ 51.2, d 1.785, rel. 13; 2θ 54.3, d 1.689, rel. 22; 2θ 61.6, d 1.506, rel. 30; 2θ 66.6, d 1.403, rel. 12; 2θ 67.1, d 1.394, rel. 12

Cell and atoms:
a b c (Å): 4.5439 5.0473 5.0489
angles (deg): 90.00 90.00 90.00
Space group Pmmm (No. 47)
One atom of each set of equivalent atoms:
Ce (0.0000, 0.0000, 0.0000) x1
Nd (0.0000, 0.5000, 0.5000) x1
Tl (0.5000, 0.0000, 0.5000) x1
In (0.5000, 0.5000, 0.0000) x1



Record 5
Structure and simulated PXRD pattern of Ho7Co2Bi2 (a crystal structure in Alexandria, relaxed with GGA-PBE; Cu Kα (λ = 1.5418 Å)).
Kinematic intensities with the Lorentz-polarization factor, no thermal factor.

Principal peaks in the range 5 to 70 degrees two-theta, low angle first:
2θ 26.1, d 3.413, rel. 20; 2θ 28.4, d 3.146, rel. 32; 2θ 31.0, d 2.881, rel. 42; 2θ 31.8, d 2.812, rel. 100; 2θ 33.0, d 2.717, rel. 38; 2θ 34.3, d 2.617, rel. 86; 2θ 34.8, d 2.577, rel. 42; 2θ 44.8, d 2.025, rel. 20; 2θ 50.2, d 1.819, rel. 24; 2θ 60.6, d 1.527, rel. 32

Cell and atoms:
a b c (Å): 3.6381 16.2998 9.8579
angles (deg): 90.00 90.00 90.00
Space group Imm2 (No. 44)
One atom of each set of equivalent atoms:
Ho (0.0000, 0.0000, 0.0000) x2
Ho (0.0000, 0.1373, 0.5593) x4
Ho (0.0000, 0.3173, 0.3666) x4
Ho (0.0000, 0.3431, 0.7121) x4
Co (0.0000, 0.2379, 0.0541) x4
Bi (0.0000, 0.0000, 0.3239) x2
Bi (0.0000, 0.5000, 0.2267) x2



Record 6
Structure and simulated PXRD pattern of Li5Ag (a crystal structure in Alexandria, relaxed with GGA-PBE; Cu Kα (λ = 1.5418 Å)).
Kinematic intensities with the Lorentz-polarization factor, no thermal factor.

Principal peaks in the range 5 to 70 degrees two-theta, low angle first:
2θ 16.0, d 5.528, rel. 100; 2θ 20.6, d 4.306, rel. 56; 2θ 21.6, d 4.123, rel. 49; 2θ 23.6, d 3.775, rel. 79; 2θ 26.6, d 3.352, rel. 58; 2θ 30.2, d 2.955, rel. 20; 2θ 30.6, d 2.926, rel. 41; 2θ 37.0, d 2.432, rel. 24; 2θ 37.4, d 2.402, rel. 39; 2θ 38.0, d 2.370, rel. 37

Cell and atoms:
a b c (Å): 9.1283 4.1995 5.8584
angles (deg): 90.00 109.35 90.00
Space group C2/m (No. 12)
One atom of each set of equivalent atoms:
Li (0.0000, 0.0000, 0.0000) x2
Li (0.1559, 0.5000, 0.8161) x4
Li (0.1702, 0.5000, 0.3428) x4
Ag (0.0000, 0.0000, 0.5000) x2



Record 7
Structure and simulated PXRD pattern of V7Si2P2 (a crystal structure in Alexandria, relaxed with GGA-PBE; Cu Kα (λ = 1.5418 Å)).
Kinematic intensities with the Lorentz-polarization factor, no thermal factor.

Principal peaks in the range 5 to 70 degrees two-theta, low angle first:
2θ 30.7, d 2.915, rel. 55; 2θ 32.9, d 2.723, rel. 100; 2θ 41.1, d 2.197, rel. 52; 2θ 42.8, d 2.115, rel. 94; 2θ 44.3, d 2.043, rel. 75; 2θ 44.8, d 2.022, rel. 53; 2θ 45.6, d 1.990, rel. 52; 2θ 50.3, d 1.814, rel. 27; 2θ 51.2, d 1.784, rel. 44; 2θ 52.3, d 1.749, rel. 43

Cell and atoms:
a b c (Å): 8.6341 7.1174 5.1880
angles (deg): 90.00 101.53 90.00
Space group C2/m (No. 12)
One atom of each set of equivalent atoms:
V (0.0000, 0.0000, 0.0000) x2
V (0.0142, 0.5000, 0.2783) x4
V (0.2439, 0.2043, 0.2754) x8
Si (0.0000, 0.1771, 0.5000) x4
P (0.2288, 0.5000, 0.0713) x4



Record 8
Structure and simulated PXRD pattern of IrOsRh (a crystal structure in Alexandria, relaxed with GGA-PBE; Cu Kα (λ = 1.5418 Å)).
Kinematic intensities with the Lorentz-polarization factor, no thermal factor.

Principal peaks in the range 5 to 70 degrees two-theta, low angle first:
2θ 21.7, d 4.094, rel. 5; 2θ 25.6, d 3.480, rel. 4; 2θ 34.7, d 2.588, rel. 2; 2θ 40.5, d 2.225, rel. 100; 2θ 46.5, d 1.955, rel. 3; 2θ 47.1, d 1.929, rel. 33; 2θ 47.3, d 1.922, rel. 16; 2θ 61.6, d 1.506, rel. 1; 2θ 68.8, d 1.364, rel. 11; 2θ 69.0, d 1.362, rel. 21

Cell and atoms:
a b c (Å): 2.7281 3.8442 8.1872
angles (deg): 90.00 90.00 90.00
Space group Imm2 (No. 44)
One atom of each set of equivalent atoms:
Ir (0.0000, 0.0000, 0.0000) x2
Os (0.0000, 0.0000, 0.6594) x2
Rh (0.0000, 0.0000, 0.3270) x2



Record 9
Structure and simulated PXRD pattern of Pa3Si2Ni9 (a crystal structure in Alexandria, relaxed with GGA-PBE; Cu Kα (λ = 1.5418 Å)).
Kinematic intensities with the Lorentz-polarization factor, no thermal factor.

Principal peaks in the range 5 to 70 degrees two-theta, low angle first:
2θ 19.4, d 4.572, rel. 29; 2θ 25.0, d 3.555, rel. 62; 2θ 32.8, d 2.729, rel. 56; 2θ 36.8, d 2.444, rel. 22; 2θ 37.6, d 2.392, rel. 100; 2θ 38.4, d 2.343, rel. 94; 2θ 39.4, d 2.286, rel. 16; 2θ 47.1, d 1.930, rel. 43; 2θ 55.6, d 1.652, rel. 20; 2θ 61.8, d 1.502, rel. 27

Cell and atoms:
a b c (Å): 3.8613 9.1433 11.5688
angles (deg): 90.00 90.00 90.00
Space group Immm (No. 71)
One atom of each set of equivalent atoms:
Pa (0.0000, 0.0000, 0.0000) x2
Pa (0.0000, 0.0000, 0.3069) x4
Si (0.0000, 0.2257, 0.5000) x4
Ni (0.0000, 0.2826, 0.1147) x8
Ni (0.0000, 0.3647, 0.3260) x8
Ni (0.0000, 0.5000, 0.0000) x2



Record 10
Structure and simulated PXRD pattern of Tb7Dy6Tm16 (a crystal structure in Alexandria, relaxed with GGA-PBE; Cu Kα (λ = 1.5418 Å)).
Kinematic intensities with the Lorentz-polarization factor, no thermal factor.

Principal peaks in the range 5 to 70 degrees two-theta, low angle first:
2θ 28.1, d 3.177, rel. 6; 2θ 29.8, d 2.996, rel. 13; 2θ 32.5, d 2.752, rel. 100; 2θ 34.1, d 2.631, rel. 6; 2θ 34.6, d 2.594, rel. 5; 2θ 44.7, d 2.027, rel. 7; 2θ 46.7, d 1.946, rel. 14; 2θ 58.1, d 1.589, rel. 25; 2θ 61.6, d 1.505, rel. 7; 2θ 68.2, d 1.376, rel. 7

Cell and atoms:
a b c (Å): 15.5662 15.5662 15.5662
angles (deg): 90.00 90.00 90.00
Space group Fm-3m (No. 225)
One atom of each set of equivalent atoms:
Tb (0.0000, 0.0000, 0.0000) x4
Tb (0.0000, 0.2500, 0.2500) x24
Dy (0.0000, 0.0000, 0.2719) x24
Tm (0.1249, 0.1249, 0.1249) x32
Tm (0.1509, 0.1509, 0.3491) x32



Record 11
Structure and simulated PXRD pattern of DyY3Rh4 (a crystal structure in Alexandria, relaxed with GGA-PBE; Cu Kα (λ = 1.5418 Å)).
Kinematic intensities with the Lorentz-polarization factor, no thermal factor.

Principal peaks in the range 5 to 70 degrees two-theta, low angle first:
2θ 12.9, d 6.888, rel. 2; 2θ 19.4, d 4.575, rel. 3; 2θ 26.7, d 3.334, rel. 1; 2θ 37.0, d 2.430, rel. 100; 2θ 37.1, d 2.425, rel. 50; 2θ 53.2, d 1.722, rel. 9; 2θ 53.4, d 1.715, rel. 17; 2θ 66.6, d 1.404, rel. 13; 2θ 66.7, d 1.402, rel. 21; 2θ 66.8, d 1.401, rel. 17

Cell and atoms:
a b c (Å): 14.5980 4.8498 4.8498
angles (deg): 90.00 109.32 90.00
Space group C2/m (No. 12)
One atom of each set of equivalent atoms:
Dy (0.0000, 0.0000, 0.0000) x2
Y (0.0000, 0.5000, 0.5000) x2
Y (0.2498, 0.0000, 0.2499) x4
Rh (0.1244, 0.0000, 0.6244) x4
Rh (0.1243, 0.5000, 0.1242) x4



Record 12
Structure and simulated PXRD pattern of NaLiPuCl6 (a crystal structure in Alexandria, relaxed with GGA-PBE; Cu Kα (λ = 1.5418 Å)).
Kinematic intensities with the Lorentz-polarization factor, no thermal factor.

Principal peaks in the range 5 to 70 degrees two-theta, low angle first:
2θ 14.0, d 6.326, rel. 38; 2θ 15.4, d 5.767, rel. 20; 2θ 16.9, d 5.248, rel. 100; 2θ 20.8, d 4.262, rel. 34; 2θ 26.2, d 3.404, rel. 36; 2θ 30.3, d 2.946, rel. 48; 2θ 31.8, d 2.811, rel. 22; 2θ 39.3, d 2.293, rel. 43; 2θ 42.1, d 2.148, rel. 21; 2θ 47.3, d 1.922, rel. 20

Cell and atoms:
a b c (Å): 6.6594 6.6594 12.6512
angles (deg): 90.00 90.00 120.00
Space group P-31c (No. 163)
One atom of each set of equivalent atoms:
Na (0.0000, 0.0000, 0.0000) x2
Li (0.3333, 0.6667, 0.2500) x2
Pu (0.3333, 0.6667, 0.7500) x2
Cl (0.9996, 0.3534, 0.1340) x12



Record 13
Structure and simulated PXRD pattern of Co2CuBr6 (a crystal structure in Alexandria, relaxed with GGA-PBE; Cu Kα (λ = 1.5418 Å)).
Kinematic intensities with the Lorentz-polarization factor, no thermal factor.

Principal peaks in the range 5 to 70 degrees two-theta, low angle first:
2θ 14.9, d 5.948, rel. 37; 2θ 18.8, d 4.711, rel. 44; 2θ 20.2, d 4.406, rel. 25; 2θ 21.9, d 4.054, rel. 33; 2θ 26.7, d 3.336, rel. 100; 2θ 27.2, d 3.283, rel. 38; 2θ 28.9, d 3.089, rel. 27; 2θ 41.0, d 2.199, rel. 20; 2θ 47.1, d 1.931, rel. 23; 2θ 48.3, d 1.885, rel. 25

Cell and atoms:
a b c (Å): 13.8843 14.0491 6.5854
angles (deg): 90.00 113.80 90.00
Space group C2/c (No. 15)
One atom of each set of equivalent atoms:
Co (0.2217, 0.0829, 0.3429) x8
Cu (0.0000, 0.2874, 0.2500) x4
Br (0.0995, 0.3899, 0.5656) x8
Br (0.1133, 0.2021, 0.1126) x8
Br (0.1788, 0.0687, 0.6603) x8